Starting from a crystal structure in Alexandria, relaxed with GGA+U, the X-ray diffraction stick pattern of Na3FeBPO7 was calculated for Cu Kα.

Structure:
```
26
Lattice="5.292 0.000 0.000 0.000 6.672 0.000 -0.240 0.000 8.934" Properties=species:S:1:pos:R:3 pbc="T T T"
Na 1.263 1.668 0.671
Na 1.133 3.347 6.689
Na 1.133 6.661 6.689
Na 3.919 0.011 2.245
Na 3.919 3.325 2.245
Na 3.788 5.004 8.264
Fe 1.105 5.004 3.024
Fe 3.947 1.668 5.911
B 1.415 5.004 0.592
B 3.637 1.668 8.342
P 1.376 1.668 3.790
P 3.676 5.004 5.145
O 0.151 5.004 1.207
O 0.532 1.668 5.087
O 1.056 0.427 2.912
O 1.056 2.909 2.912
O 1.390 5.004 8.197
O 2.156 5.004 4.767
O 2.451 5.004 1.556
O 2.601 1.668 7.378
O 2.896 1.668 4.167
O 3.662 1.668 0.737
O 3.995 3.763 6.023
O 3.995 6.244 6.023
O 4.520 5.004 3.848
O 4.901 1.668 7.728
```

Most intense lines, 5 to 70 degrees two-theta, most intense first:
(0 0 1), d 8.934, 2θ 9.9, rel. 100
(0 2 2), d 2.676, 2θ 33.5, rel. 98
(0 2 0), d 3.336, 2θ 26.7, rel. 96
(2 0 0), d 2.645, 2θ 33.9, rel. 74
(1 2 -1), d 2.702, 2θ 33.2, rel. 59
(0 1 1), d 5.346, 2θ 16.6, rel. 51